The following is a theoretical powder XRD pattern of Rb4NiBr5. It was derived from a PBE-relaxed structure, using Cu Kα (λ = 1.5418 Å).

```
Rb4NiBr5
1.0
-5.204 5.204 3.485
5.204 -5.204 3.485
5.204 5.204 -3.485
Rb Ni Br
4 1 5
Direct
0.091 0.297 0.388 Rb
0.297 0.909 0.206 Rb
0.703 0.091 0.794 Rb
0.909 0.703 0.612 Rb
0.555 0.555 0.000 Ni
0.244 0.576 0.830 Br
0.413 0.244 0.667 Br
0.576 0.746 0.333 Br
0.746 0.413 0.170 Br
0.912 0.912 0.000 Br
```

Largest 10 diffraction maxima, in order of falling intensity, 2θ = 10–90°:
Position (°2θ)  I_rel
27.09  1000
37.59  743
25.56  579
38.69  305
46.94  277
60.08  157
33.60  114
22.97  91
62.40  85
69.29  83